# 1
ZrAl2Te: simulated powder X-ray diffraction pattern (Cu Ka), based on DFT lattice parameters and positions (PBE).
No peak broadening, texture or thermal motion is included.

Main lines, in order of rising 2θ (2θ = 15–90°):
20.9°, intensity 58
25.7°, intensity 35
31.5°, intensity 21
33.4°, intensity 100
38.1°, intensity 69
41.1°, intensity 56
42.6°, intensity 25
46.6°, intensity 28
60.7°, intensity 34
67.0°, intensity 25

a b c (Å): 5.106 5.106 3.467
angles (deg): 90.00 90.00 112.46
Sites, in units of the cell vectors:
Zr  0.000  0.000  0.000
Al  0.000  0.500  0.500
Al  0.500  0.000  0.500
Te  0.500  0.500  0.000


# 2
Li4SbTe3O12: simulated powder X-ray diffraction pattern (Cu Ka), based on DFT lattice parameters and positions (PBE).
No peak broadening, texture or thermal motion is included.

Main lines, in order of rising 2θ (2θ = 15–90°):
23.2°, intensity 100
32.0°, intensity 41
34.0°, intensity 26
41.5°, intensity 16
47.3°, intensity 12
51.9°, intensity 19
52.0°, intensity 9
54.7°, intensity 17
59.5°, intensity 13
60.8°, intensity 12

a b c (Å): 5.279 5.615 7.721
angles (deg): 85.05 90.00 89.96
Sites, in units of the cell vectors:
Li  0.000  0.000  0.000
Li  0.008  0.011  0.498
Li  0.502  0.505  0.006
Li  0.514  0.498  0.494
Sb  0.506  0.930  0.213
Te  0.005  0.431  0.213
Te  0.007  0.439  0.716
Te  0.507  0.927  0.712
O  0.134  0.412  0.965
O  0.181  0.092  0.264
O  0.209  0.747  0.631
O  0.334  0.218  0.630
O  0.338  0.605  0.264
O  0.369  0.908  0.951
O  0.643  0.898  0.465
O  0.658  0.606  0.767
O  0.696  0.225  0.131
O  0.804  0.735  0.134
O  0.823  0.075  0.767
O  0.881  0.404  0.457


# 3
MgV4S8: simulated powder X-ray diffraction pattern (Cu Ka), based on DFT lattice parameters and positions (PBE).
No peak broadening, texture or thermal motion is included.

Main lines, in order of rising 2θ (2θ = 15–90°):
33.8°, intensity 43
34.6°, intensity 100
42.2°, intensity 31
42.6°, intensity 25
43.4°, intensity 51
43.9°, intensity 16
54.5°, intensity 29
55.1°, intensity 48
56.1°, intensity 13
60.4°, intensity 11

a b c (Å): 6.668 6.668 8.267
angles (deg): 125.50 125.50 60.03
Sites, in units of the cell vectors:
Mg  0.000  0.000  0.000
V  0.273  0.273  0.504
V  0.280  0.720  0.500
V  0.720  0.280  0.500
V  0.727  0.727  0.496
S  0.008  0.008  0.700
S  0.031  0.522  0.731
S  0.456  0.456  0.246
S  0.478  0.969  0.269
S  0.522  0.031  0.731
S  0.544  0.544  0.754
S  0.969  0.478  0.269
S  0.992  0.992  0.300


# 4
RbW3Br7: simulated powder X-ray diffraction pattern (Cu Ka), based on DFT lattice parameters and positions (PBE).
No peak broadening, texture or thermal motion is included.

Main lines, in order of rising 2θ (2θ = 15–90°):
31.5°, intensity 40
33.4°, intensity 52
38.0°, intensity 41
39.7°, intensity 46
39.9°, intensity 69
40.1°, intensity 100
42.9°, intensity 57
46.3°, intensity 66
46.6°, intensity 38
50.0°, intensity 46

a b c (Å): 13.154 13.154 10.114
angles (deg): 110.17 110.17 74.60
Sites, in units of the cell vectors:
Rb  0.000  0.000  0.000
Rb  0.000  0.000  0.500
Rb  0.431  0.569  0.750
Rb  0.569  0.431  0.250
W  0.044  0.347  0.943
W  0.067  0.515  0.873
W  0.132  0.513  0.152
W  0.347  0.044  0.443
W  0.485  0.933  0.627
W  0.487  0.868  0.348
W  0.513  0.132  0.652
W  0.515  0.067  0.373
W  0.653  0.956  0.557
W  0.868  0.487  0.848
W  0.933  0.485  0.127
W  0.956  0.653  0.057
Br  0.022  0.651  0.337
Br  0.108  0.131  0.861
Br  0.108  0.346  0.221
Br  0.131  0.108  0.361
Br  0.155  0.681  0.080
Br  0.161  0.537  0.697
Br  0.243  0.375  0.967
Br  0.319  0.531  0.362
Br  0.319  0.845  0.420
Br  0.346  0.108  0.721
Br  0.349  0.978  0.163
Br  0.375  0.243  0.467
Br  0.463  0.839  0.803
Br  0.469  0.681  0.138
Br  0.531  0.319  0.862
Br  0.537  0.161  0.197
Br  0.625  0.757  0.533
Br  0.651  0.022  0.837
Br  0.654  0.892  0.279
Br  0.681  0.155  0.580
Br  0.681  0.469  0.638
Br  0.757  0.625  0.033
Br  0.839  0.463  0.303
Br  0.845  0.319  0.920
Br  0.869  0.892  0.639
Br  0.892  0.654  0.779
Br  0.892  0.869  0.139
Br  0.978  0.349  0.663


# 5
BaCuHg: simulated powder X-ray diffraction pattern (Cu Ka), based on DFT lattice parameters and positions (PBE).
No peak broadening, texture or thermal motion is included.

Main lines, in order of rising 2θ (2θ = 15–90°):
25.1°, intensity 30
26.1°, intensity 33
26.9°, intensity 31
29.4°, intensity 86
31.1°, intensity 32
32.9°, intensity 100
34.6°, intensity 70
35.1°, intensity 78
51.5°, intensity 46
69.0°, intensity 32

a b c (Å): 7.262 7.262 8.469
angles (deg): 90.00 90.00 127.65
Sites, in units of the cell vectors:
Ba  0.168  0.832  0.901
Ba  0.332  0.668  0.401
Ba  0.668  0.332  0.599
Ba  0.832  0.168  0.099
Cu  0.091  0.909  0.525
Cu  0.409  0.591  0.025
Cu  0.591  0.409  0.975
Cu  0.909  0.091  0.475
Hg  0.182  0.318  0.750
Hg  0.318  0.182  0.250
Hg  0.682  0.818  0.750
Hg  0.818  0.682  0.250


# 6
CaGaH5: simulated powder X-ray diffraction pattern (Cu Ka), based on DFT lattice parameters and positions (PBE).
No peak broadening, texture or thermal motion is included.

Main lines, in order of rising 2θ (2θ = 15–90°):
21.7°, intensity 25
24.9°, intensity 87
25.1°, intensity 100
27.6°, intensity 41
28.0°, intensity 28
28.2°, intensity 41
28.5°, intensity 27
35.1°, intensity 24
45.9°, intensity 29
48.0°, intensity 22

a b c (Å): 6.488 4.283 6.638
angles (deg): 90.00 102.97 90.00
Sites, in units of the cell vectors:
Ca  0.170  0.000  0.177
Ca  0.830  0.500  0.823
Ga  0.288  0.237  0.703
Ga  0.712  0.737  0.297
H  0.081  0.444  0.620
H  0.131  0.499  0.077
H  0.246  0.971  0.855
H  0.349  0.066  0.510
H  0.479  0.457  0.809
H  0.521  0.957  0.191
H  0.651  0.566  0.490
H  0.754  0.471  0.145
H  0.869  0.999  0.923
H  0.919  0.944  0.380